Starting from the PBE geometry in Alexandria, the powder XRD pattern of Zr4PRh was calculated for Cu Kα, 1.54184 Å.

Principal peaks in the range 2θ = 10–80°, by intensity:
d/Å, 2θ (°), intensity
2.366, 38.03, 100.0
2.265, 39.79, 51.2
1.510, 61.39, 31.5
1.387, 67.53, 27.5
4.530, 19.60, 24.0
2.774, 32.27, 17.8
1.962, 46.28, 9.5
1.602, 57.54, 6.5
3.923, 22.66, 6.3
1.800, 50.71, 5.7
1.326, 71.07, 4.0
1.755, 52.13, 2.9

Cell lengths 5.549, 5.549, 5.549 Å; angles 60.00, 60.00, 60.00 degrees
Fractional coordinates of all 6 atoms:
Zr: 0.125 0.125 0.125
Zr: 0.125 0.125 0.624
Zr: 0.125 0.624 0.125
Zr: 0.624 0.125 0.125
P: 0.750 0.750 0.750
Rh: 0.500 0.500 0.500


Starting from the PBE geometry in Alexandria, the powder XRD pattern of Zr2PRh was calculated for Cu Kα, 1.54184 Å.

Principal peaks in the range 2θ = 10–80°, by intensity:
d/Å, 2θ (°), intensity
2.547, 35.23, 100.0
2.497, 35.96, 44.9
2.092, 43.25, 40.6
2.147, 42.09, 35.1
1.915, 47.48, 22.1
2.592, 34.60, 21.1
1.520, 60.97, 18.6
1.806, 50.52, 18.3
1.382, 67.80, 16.4
3.080, 28.99, 13.4
1.370, 68.46, 12.8
1.314, 71.85, 12.4

Cell lengths 3.830, 5.490, 5.490 Å; angles 38.42, 90.00, 90.00 degrees
Fractional coordinates of all 4 atoms:
Zr: 0.000 0.000 0.000
Zr: 0.500 0.301 0.301
P: 0.500 0.562 0.562
Rh: 0.000 0.719 0.719


Starting from the PBE geometry in Alexandria, the powder XRD pattern of PRu3 was calculated for Cu Kα, 1.54184 Å.

Principal peaks in the range 2θ = 10–80°, by intensity:
d/Å, 2θ (°), intensity
2.153, 41.96, 100.0
1.998, 45.39, 45.5
2.600, 34.49, 25.1
1.413, 66.14, 14.4
1.484, 62.60, 12.7
2.216, 40.71, 11.6
1.278, 74.22, 11.5
1.203, 79.70, 10.1
1.662, 55.27, 7.1
2.826, 31.67, 5.7
1.241, 76.78, 4.7
3.324, 26.82, 2.0

Cell lengths 2.826, 2.826, 6.649 Å; angles 90.00, 90.00, 90.00 degrees
Fractional coordinates of all 4 atoms:
P: 0.000 0.000 0.000
Ru: 0.000 0.000 0.500
Ru: 0.500 0.500 0.213
Ru: 0.500 0.500 0.787


Starting from the PBE geometry in Alexandria, the powder XRD pattern of P5Ru was calculated for Cu Kα, 1.54184 Å.

Principal peaks in the range 2θ = 10–80°, by intensity:
d/Å, 2θ (°), intensity
7.165, 12.35, 100.0
3.201, 27.87, 62.3
1.623, 56.71, 49.1
2.463, 36.48, 47.5
2.328, 38.68, 45.6
2.157, 41.89, 28.7
1.952, 46.52, 26.7
3.066, 29.13, 25.2
2.621, 34.21, 20.3
1.849, 49.28, 18.2
4.130, 21.51, 16.1
1.696, 54.08, 13.1

Cell lengths 3.392, 7.483, 7.483 Å; angles 33.51, 90.00, 90.00 degrees
Fractional coordinates of all 6 atoms:
P: 0.000 0.000 0.000
P: 0.000 0.267 0.267
P: 0.500 0.168 0.168
P: 0.500 0.465 0.465
P: 0.500 0.892 0.892
Ru: 0.000 0.568 0.568


Starting from the PBE geometry in Alexandria, the powder XRD pattern of P4Ru was calculated for Cu Kα, 1.54184 Å.

Principal peaks in the range 2θ = 10–80°, by intensity:
d/Å, 2θ (°), intensity
2.870, 31.16, 100.0
2.851, 31.37, 96.2
4.111, 21.61, 55.2
4.650, 19.09, 53.4
2.677, 33.47, 46.9
3.375, 26.41, 42.1
1.804, 50.61, 39.7
3.071, 29.08, 34.3
3.729, 23.86, 29.6
2.015, 44.98, 27.9
3.521, 25.30, 25.1
1.715, 53.41, 24.5

Cell lengths 4.743, 7.199, 7.577 Å; angles 111.19, 90.38, 100.41 degrees
Fractional coordinates of all 15 atoms:
P: 0.099 0.368 0.401
P: 0.109 0.831 0.269
P: 0.159 0.086 0.937
P: 0.228 0.572 0.049
P: 0.295 0.296 0.625
P: 0.322 0.838 0.714
P: 0.678 0.162 0.286
P: 0.705 0.704 0.375
P: 0.772 0.428 0.951
P: 0.841 0.914 0.063
P: 0.891 0.169 0.731
P: 0.901 0.632 0.599
Ru: 0.442 0.373 0.172
Ru: 0.500 0.000 0.500
Ru: 0.558 0.627 0.828


Starting from the PBE geometry in Alexandria, the powder XRD pattern of PRu3 was calculated for Cu Kα, 1.54184 Å.

Principal peaks in the range 2θ = 10–80°, by intensity:
d/Å, 2θ (°), intensity
2.177, 41.48, 100.0
1.963, 46.24, 36.3
1.308, 72.25, 18.6
4.351, 20.41, 14.0
1.753, 52.18, 12.6
2.342, 38.44, 5.7
1.389, 67.40, 5.7
1.387, 67.52, 5.7
2.777, 32.24, 4.6
3.506, 25.40, 4.2
2.154, 41.94, 2.3
1.713, 53.49, 2.2

Cell lengths 4.471, 4.471, 2.779 Å; angles 90.00, 90.00, 103.29 degrees
Fractional coordinates of all 4 atoms:
P: 0.000 0.000 0.000
Ru: 0.000 0.500 0.500
Ru: 0.500 0.000 0.500
Ru: 0.500 0.500 0.000


Starting from the PBE geometry in Alexandria, the powder XRD pattern of PRu3 was calculated for Cu Kα, 1.54184 Å.

Principal peaks in the range 2θ = 10–80°, by intensity:
d/Å, 2θ (°), intensity
2.085, 43.39, 100.0
2.409, 37.34, 31.6
2.147, 42.08, 31.1
2.182, 41.38, 19.0
1.228, 77.81, 17.3
2.708, 33.08, 15.1
1.530, 60.49, 12.0
1.223, 78.14, 11.5
1.488, 62.40, 11.2
1.424, 65.54, 8.1
1.683, 54.54, 7.3
1.226, 77.92, 7.1

Cell lengths 5.068, 5.068, 5.068 Å; angles 147.35, 129.86, 61.13 degrees
Fractional coordinates of all 4 atoms:
P: 0.000 0.000 0.000
Ru: 0.214 0.714 0.500
Ru: 0.500 0.500 0.000
Ru: 0.786 0.286 0.500


Starting from the PBE geometry in Alexandria, the powder XRD pattern of ThPRuS was calculated for Cu Kα, 1.54184 Å.

Principal peaks in the range 2θ = 10–80°, by intensity:
d/Å, 2θ (°), intensity
3.801, 23.41, 100.0
2.461, 36.51, 98.2
2.115, 42.76, 43.6
3.026, 29.52, 33.7
1.848, 49.32, 29.3
1.278, 74.21, 26.0
2.385, 37.72, 23.9
1.928, 47.14, 18.6
1.499, 61.89, 18.3
2.827, 31.65, 15.6
1.733, 52.82, 15.3
2.888, 30.96, 14.8

Cell lengths 4.229, 4.229, 8.664 Å; angles 90.00, 90.00, 90.00 degrees
Fractional coordinates of all 8 atoms:
Th: 0.250 0.250 0.207
Th: 0.750 0.750 0.793
P: 0.250 0.250 0.634
P: 0.750 0.750 0.366
Ru: 0.250 0.750 0.500
Ru: 0.750 0.250 0.500
S: 0.250 0.750 0.000
S: 0.750 0.250 0.000


Starting from the PBE geometry in Alexandria, the powder XRD pattern of ScP4Ru was calculated for Cu Kα, 1.54184 Å.

Principal peaks in the range 2θ = 10–80°, by intensity:
d/Å, 2θ (°), intensity
2.137, 42.29, 100.0
2.506, 35.83, 61.2
1.364, 68.82, 29.6
4.093, 21.71, 23.3
1.253, 75.93, 20.8
1.447, 64.39, 20.5
2.046, 44.26, 18.1
3.544, 25.13, 11.2
1.626, 56.59, 5.3
1.585, 58.20, 5.2

Cell lengths 5.012, 5.012, 5.012 Å; angles 60.00, 60.00, 60.00 degrees
Fractional coordinates of all 6 atoms:
Sc: 0.000 0.000 0.000
P: 0.128 0.624 0.624
P: 0.624 0.128 0.624
P: 0.624 0.624 0.128
P: 0.624 0.624 0.624
Ru: 0.250 0.250 0.250


Starting from the PBE geometry in Alexandria, the powder XRD pattern of ScPRu4 was calculated for Cu Kα, 1.54184 Å.

Principal peaks in the range 2θ = 10–80°, by intensity:
d/Å, 2θ (°), intensity
2.188, 41.26, 100.0
2.095, 43.19, 74.3
4.190, 21.21, 66.2
1.397, 67.01, 30.3
1.283, 73.88, 30.0
1.814, 50.30, 24.1
1.665, 55.17, 15.3
1.227, 77.88, 10.8
2.566, 34.97, 6.8
1.481, 62.73, 2.2

Cell lengths 5.131, 5.131, 5.131 Å; angles 60.00, 60.00, 60.00 degrees
Fractional coordinates of all 6 atoms:
Sc: 0.000 0.000 0.000
P: 0.750 0.750 0.750
Ru: 0.376 0.376 0.376
Ru: 0.376 0.376 0.873
Ru: 0.376 0.873 0.376
Ru: 0.873 0.376 0.376


Starting from the PBE geometry in Alexandria, the powder XRD pattern of PRuSe2 was calculated for Cu Kα, 1.54184 Å.

Principal peaks in the range 2θ = 10–80°, by intensity:
d/Å, 2θ (°), intensity
2.436, 36.91, 100.0
2.021, 44.85, 41.5
4.656, 19.06, 27.7
2.102, 43.02, 24.1
1.232, 77.44, 22.3
1.805, 50.57, 21.3
3.104, 28.76, 15.6
2.732, 32.78, 15.1
1.429, 65.30, 13.2
1.694, 54.16, 10.1
1.369, 68.52, 9.6
1.854, 49.15, 9.2

Cell lengths 2.858, 2.858, 9.312 Å; angles 90.00, 90.00, 90.00 degrees
Fractional coordinates of all 4 atoms:
P: 0.000 0.000 0.000
Ru: 0.500 0.500 0.143
Se: 0.000 0.000 0.348
Se: 0.500 0.500 0.697


Starting from the PBE geometry in Alexandria, the powder XRD pattern of SmP4Ru4 was calculated for Cu Kα, 1.54184 Å.

Principal peaks in the range 2θ = 10–80°, by intensity:
d/Å, 2θ (°), intensity
2.527, 35.53, 100.0
2.361, 38.12, 42.1
3.239, 27.54, 25.8
1.424, 65.55, 22.5
1.949, 46.61, 21.3
1.575, 58.62, 18.9
2.788, 32.11, 17.5
2.848, 31.41, 16.6
1.495, 62.08, 16.1
2.114, 42.77, 15.7
1.621, 56.79, 14.7
2.197, 41.08, 11.3

Cell lengths 5.980, 5.980, 7.708 Å; angles 90.00, 90.00, 90.00 degrees
Fractional coordinates of all 18 atoms:
Sm: 0.250 0.750 0.250
Sm: 0.750 0.250 0.750
P: 0.039 0.250 0.070
P: 0.250 0.039 0.570
P: 0.250 0.461 0.570
P: 0.461 0.250 0.070
P: 0.539 0.750 0.930
P: 0.750 0.539 0.430
P: 0.750 0.961 0.430
P: 0.961 0.750 0.930
Ru: 0.022 0.250 0.372
Ru: 0.250 0.022 0.872
Ru: 0.250 0.478 0.872
Ru: 0.478 0.250 0.372
Ru: 0.522 0.750 0.628
Ru: 0.750 0.522 0.128
Ru: 0.750 0.978 0.128
Ru: 0.978 0.750 0.628


Starting from the PBE geometry in Alexandria, the powder XRD pattern of SmP3Ru3 was calculated for Cu Kα, 1.54184 Å.

Principal peaks in the range 2θ = 10–80°, by intensity:
d/Å, 2θ (°), intensity
2.992, 29.87, 100.0
2.367, 38.01, 62.8
1.930, 47.09, 49.3
1.461, 63.71, 27.6
2.235, 40.35, 18.7
1.622, 56.76, 15.9
5.564, 15.93, 15.9
1.496, 62.05, 14.6
1.858, 49.03, 14.4
1.242, 76.76, 12.7
5.018, 17.67, 12.6
1.499, 61.92, 10.7

Cell lengths 7.737, 7.737, 7.737 Å; angles 51.19, 51.19, 51.19 degrees
Fractional coordinates of all 14 atoms:
Sm: 0.167 0.167 0.167
Sm: 0.833 0.833 0.833
P: 0.093 0.403 0.723
P: 0.277 0.907 0.597
P: 0.403 0.723 0.093
P: 0.597 0.277 0.907
P: 0.723 0.093 0.403
P: 0.907 0.597 0.277
Ru: 0.031 0.722 0.383
Ru: 0.278 0.617 0.969
Ru: 0.383 0.031 0.722
Ru: 0.617 0.969 0.278
Ru: 0.722 0.383 0.031
Ru: 0.969 0.278 0.617


Starting from the PBE geometry in Alexandria, the powder XRD pattern of U2Sn2PRu4 was calculated for Cu Kα, 1.54184 Å.

Principal peaks in the range 2θ = 10–80°, by intensity:
d/Å, 2θ (°), intensity
2.538, 35.37, 100.0
2.200, 41.02, 44.5
1.327, 71.06, 25.0
2.016, 44.97, 23.1
2.647, 33.87, 18.0
5.076, 17.47, 15.4
4.399, 20.19, 14.9
1.556, 59.40, 14.6
1.553, 59.52, 13.8
1.692, 54.20, 13.4
2.193, 41.17, 10.7
3.111, 28.69, 10.3

Cell lengths 6.213, 6.213, 6.213 Å; angles 119.88, 119.88, 90.21 degrees
Fractional coordinates of all 9 atoms:
U: 0.196 0.196 0.000
U: 0.804 0.804 0.000
Sn: 0.250 0.750 0.500
Sn: 0.750 0.250 0.500
P: 0.500 0.500 0.000
Ru: 0.233 0.233 0.466
Ru: 0.233 0.767 0.000
Ru: 0.767 0.233 0.000
Ru: 0.767 0.767 0.534


Starting from the PBE geometry in Alexandria, the powder XRD pattern of SrP2Ru was calculated for Cu Kα, 1.54184 Å.

Principal peaks in the range 2θ = 10–80°, by intensity:
d/Å, 2θ (°), intensity
3.418, 26.07, 100.0
2.072, 43.69, 32.1
1.813, 50.34, 30.1
3.024, 29.54, 22.1
2.138, 42.27, 14.1
1.733, 52.82, 13.7
1.346, 69.86, 11.1
1.709, 53.63, 11.0
5.340, 16.60, 8.1
1.352, 69.51, 7.0
2.844, 31.46, 6.6
1.221, 78.29, 6.3

Cell lengths 7.116, 7.116, 7.116 Å; angles 129.71, 129.71, 73.87 degrees
Fractional coordinates of all 8 atoms:
Sr: 0.000 0.000 0.000
Sr: 0.750 0.250 0.500
P: 0.235 0.625 0.110
P: 0.375 0.485 0.610
P: 0.515 0.125 0.890
P: 0.875 0.765 0.390
Ru: 0.250 0.750 0.500
Ru: 0.500 0.500 0.000